Calculated powder diffractogram
Compound: Pm4Sm4Tm
Radiation: Cu Ka
Structure: a DFT-relaxed cell (PBE, Alexandria)
Lines closer than 0.1° are merged.

Atomic structure:
```
data_Pm4Sm4Tm
_chemical_formula_sum 'Pm8 Sm8 Tm2'
_cell_length_a 10.868
_cell_length_b 10.868
_cell_length_c 5.120
_cell_angle_alpha 90.00
_cell_angle_beta 90.00
_cell_angle_gamma 90.00
_space_group_name_H-M_alt 'I 4/m m m'
_space_group_IT_number 139
_space_group_name_Hall '-I 4 2'
loop_
_atom_site_label
_atom_site_type_symbol
_atom_site_fract_x
_atom_site_fract_y
_atom_site_fract_z
_atom_site_occupancy
Pm1 Pm 0.000 0.332 0.000 1
Sm1 Sm 0.166 0.166 0.500 1
Tm1 Tm 0.000 0.000 0.000 1
```

Most intense lines, 10° ≤ 2θ ≤ 90°, low angle first:
2θ 30.22, rel. 100; 2θ 35.04, rel. 51; 2θ 50.39, rel. 36; 2θ 59.89, rel. 43; 2θ 62.85, rel. 12; 2θ 74.03, rel. 6; 2θ 81.99, rel. 18; 2θ 84.61, rel. 16



Calculated powder diffractogram
Compound: CdSi2Se4
Radiation: Cu Ka
Structure: a DFT-relaxed cell (PBE, Alexandria)
Lines closer than 0.1° are merged.

Atomic structure:
```
data_CdSi2Se4
_chemical_formula_sum 'Cd2 Si4 Se8'
_cell_length_a 8.987
_cell_length_b 8.987
_cell_length_c 5.917
_cell_angle_alpha 90.00
_cell_angle_beta 90.00
_cell_angle_gamma 90.00
_space_group_name_H-M_alt 'I 4/m'
_space_group_IT_number 87
_space_group_name_Hall '-I 4'
loop_
_atom_site_label
_atom_site_type_symbol
_atom_site_fract_x
_atom_site_fract_y
_atom_site_fract_z
_atom_site_occupancy
Cd1 Cd 0.000 0.000 0.000 1
Si1 Si 0.000 0.500 0.250 1
Se1 Se 0.071 0.684 0.500 1
```

Most intense lines, 10° ≤ 2θ ≤ 90°, low angle first:
2θ 19.76, rel. 16; 2θ 26.82, rel. 100; 2θ 30.21, rel. 14; 2θ 31.48, rel. 21; 2θ 44.20, rel. 37; 2θ 45.12, rel. 12; 2θ 51.62, rel. 16; 2θ 53.25, rel. 25



Calculated powder diffractogram
Compound: ZnPtAu14
Radiation: Cu Ka
Structure: a DFT-relaxed cell (PBE, Alexandria)
Lines closer than 0.1° are merged.

Atomic structure:
```
data_ZnPtAu14
_chemical_formula_sum 'Zn2 Pt2 Au28'
_cell_length_a 9.605
_cell_length_b 5.978
_cell_length_c 9.880
_cell_angle_alpha 90.00
_cell_angle_beta 90.00
_cell_angle_gamma 90.00
_space_group_name_H-M_alt 'A m m 2'
_space_group_IT_number 38
loop_
_space_group_symop_operation_xyz
'x,y,z'
'-x,-y,z'
'-x,y,z'
'x,-y,z'
'x,y+1/2,z+1/2'
'-x,-y+1/2,z+1/2'
'-x,y+1/2,z+1/2'
'x,-y+1/2,z+1/2'
loop_
_atom_site_label
_atom_site_type_symbol
_atom_site_fract_x
_atom_site_fract_y
_atom_site_fract_z
_atom_site_occupancy
Zn1 Zn 0.000 0.000 0.000 1
Pt1 Pt 0.000 0.000 0.500 1
Au1 Au 0.000 0.249 0.753 1
Au2 Au 0.242 0.248 0.074 1
Au3 Au 0.248 0.000 0.825 1
Au4 Au 0.249 0.000 0.326 1
Au5 Au 0.500 0.000 0.151 1
Au6 Au 0.500 0.000 0.651 1
Au7 Au 0.500 0.249 0.902 1
```

Most intense lines, 10° ≤ 2θ ≤ 90°, low angle first:
2θ 36.36, rel. 38; 2θ 37.45, rel. 46; 2θ 37.60, rel. 19; 2θ 39.94, rel. 100; 2θ 41.09, rel. 32; 2θ 64.62, rel. 18; 2θ 69.24, rel. 20; 2θ 77.16, rel. 33



Calculated powder diffractogram
Compound: Pm4Ho5Pu
Radiation: Cu Ka
Structure: a DFT-relaxed cell (PBE, Alexandria)
Lines closer than 0.1° are merged.

Atomic structure:
```
data_Pm4Ho5Pu
_chemical_formula_sum 'Pm8 Ho10 Pu2'
_cell_length_a 10.198
_cell_length_b 11.492
_cell_length_c 5.681
_cell_angle_alpha 90.00
_cell_angle_beta 90.00
_cell_angle_gamma 90.00
_space_group_name_H-M_alt 'P m m n'
_space_group_IT_number 59
loop_
_space_group_symop_operation_xyz
'x,y,z'
'-x,-y,-z'
'-x+1/2,-y+1/2,z'
'x+1/2,y+1/2,-z'
'x+1/2,-y,-z'
'-x+1/2,y,z'
'-x,y+1/2,-z'
'x,-y+1/2,z'
loop_
_atom_site_label
_atom_site_type_symbol
_atom_site_fract_x
_atom_site_fract_y
_atom_site_fract_z
_atom_site_occupancy
Pm1 Pm 0.033 0.250 0.249 1
Pm2 Pm 0.250 0.565 0.750 1
Ho1 Ho 0.056 0.558 0.250 1
Ho2 Ho 0.250 0.250 0.748 1
Pu1 Pu 0.250 0.750 0.250 1
```

Most intense lines, 10° ≤ 2θ ≤ 90°, low angle first:
2θ 11.60, rel. 13; 2θ 24.71, rel. 15; 2θ 30.65, rel. 30; 2θ 31.49, rel. 40; 2θ 33.23, rel. 100; 2θ 35.23, rel. 16; 2θ 47.97, rel. 13; 2θ 57.18, rel. 24



Calculated powder diffractogram
Compound: Er4Al24Pt9
Radiation: Cu Ka
Structure: a DFT-relaxed cell (PBE, Alexandria)
Lines closer than 0.1° are merged.

Atomic structure:
```
data_Er4Al24Pt9
_chemical_formula_sum 'Er4 Al24 Pt9'
_cell_length_a 7.512
_cell_length_b 7.515
_cell_length_c 13.158
_cell_angle_alpha 79.10
_cell_angle_beta 84.53
_cell_angle_gamma 60.08
_space_group_name_H-M_alt 'P -1'
_space_group_IT_number 2
loop_
_space_group_symop_operation_xyz
'x,y,z'
'-x,-y,-z'
loop_
_atom_site_label
_atom_site_type_symbol
_atom_site_fract_x
_atom_site_fract_y
_atom_site_fract_z
_atom_site_occupancy
Er1 Er 0.001 0.232 0.309 1
Er2 Er 0.332 0.562 0.309 1
Al1 Al 0.001 0.686 0.941 1
Al2 Al 0.001 0.852 0.444 1
Al3 Al 0.006 0.057 0.828 1
Al4 Al 0.130 0.309 0.684 1
Al5 Al 0.332 0.021 0.939 1
Al6 Al 0.332 0.184 0.452 1
Al7 Al 0.333 0.647 0.059 1
Al8 Al 0.334 0.383 0.828 1
Al9 Al 0.334 0.482 0.556 1
Al10 Al 0.336 0.898 0.683 1
Al11 Al 0.340 0.270 0.170 1
Al12 Al 0.458 0.897 0.316 1
Pt1 Pt 0.000 0.500 0.500 1
Pt2 Pt 0.008 0.612 0.139 1
Pt3 Pt 0.325 0.954 0.137 1
Pt4 Pt 0.328 0.829 0.500 1
Pt5 Pt 0.333 0.704 0.861 1
```

Most intense lines, 10° ≤ 2θ ≤ 90°, low angle first:
2θ 20.62, rel. 25; 2θ 23.79, rel. 79; 2θ 28.71, rel. 83; 2θ 30.09, rel. 88; 2θ 34.90, rel. 22; 2θ 38.54, rel. 31; 2θ 41.62, rel. 100; 2θ 44.49, rel. 26



Calculated powder diffractogram
Compound: Pa2NiB3
Radiation: Cu Ka
Structure: a DFT-relaxed cell (PBE, Alexandria)
Lines closer than 0.1° are merged.

Atomic structure:
```
data_Pa2NiB3
_chemical_formula_sum 'Pa16 Ni8 B24'
_cell_length_a 7.010
_cell_length_b 7.653
_cell_length_c 12.041
_cell_angle_alpha 90.00
_cell_angle_beta 90.00
_cell_angle_gamma 90.00
_space_group_name_H-M_alt 'F m m m'
_space_group_IT_number 69
_space_group_name_Hall '-F 2 2'
loop_
_atom_site_label
_atom_site_type_symbol
_atom_site_fract_x
_atom_site_fract_y
_atom_site_fract_z
_atom_site_occupancy
Pa1 Pa 0.000 0.241 0.000 1
Pa2 Pa 0.250 0.250 0.250 1
Ni1 Ni 0.000 0.000 0.169 1
B1 B 0.000 0.000 0.351 1
B2 B 0.224 0.000 0.425 1
```

Most intense lines, 10° ≤ 2θ ≤ 90°, low angle first:
2θ 23.25, rel. 44; 2θ 29.49, rel. 64; 2θ 29.68, rel. 32; 2θ 37.88, rel. 100; 2θ 38.03, rel. 49; 2θ 52.55, rel. 23; 2θ 56.93, rel. 21; 2θ 66.39, rel. 19



Calculated powder diffractogram
Compound: Ag7Pt5
Radiation: Cu Ka
Structure: a DFT-relaxed cell (PBE, Alexandria)
Lines closer than 0.1° are merged.

Atomic structure:
```
data_Ag7Pt5
_chemical_formula_sum 'Ag14 Pt10'
_cell_length_a 5.800
_cell_length_b 8.102
_cell_length_c 8.521
_cell_angle_alpha 90.00
_cell_angle_beta 90.00
_cell_angle_gamma 90.00
_space_group_name_H-M_alt 'C 2 2 2'
_space_group_IT_number 21
loop_
_space_group_symop_operation_xyz
'x,y,z'
'-x,-y,z'
'x,-y,-z'
'-x,y,-z'
'x+1/2,y+1/2,z'
'-x+1/2,-y+1/2,z'
'x+1/2,-y+1/2,-z'
'-x+1/2,y+1/2,-z'
loop_
_atom_site_label
_atom_site_type_symbol
_atom_site_fract_x
_atom_site_fract_y
_atom_site_fract_z
_atom_site_occupancy
Ag1 Ag 0.000 0.000 0.000 1
Ag2 Ag 0.000 0.000 0.332 1
Ag3 Ag 0.250 0.250 0.499 1
Ag4 Ag 0.250 0.250 0.836 1
Pt1 Pt 0.000 0.500 0.000 1
Pt2 Pt 0.000 0.500 0.329 1
Pt3 Pt 0.250 0.250 0.169 1
```

Most intense lines, 10° ≤ 2θ ≤ 90°, low angle first:
2θ 38.17, rel. 100; 2θ 38.72, rel. 95; 2θ 44.69, rel. 94; 2θ 65.07, rel. 40; 2θ 77.59, rel. 24; 2θ 78.07, rel. 12; 2θ 78.42, rel. 12; 2θ 78.65, rel. 23



Calculated powder diffractogram
Compound: AcTbHo2
Radiation: Cu Ka
Structure: a DFT-relaxed cell (PBE, Alexandria)
Lines closer than 0.1° are merged.

Atomic structure:
```
data_AcTbHo2
_chemical_formula_sum 'Ac3 Tb3 Ho6'
_cell_length_a 3.6931
_cell_length_b 3.6931
_cell_length_c 34.9730
_cell_angle_alpha 90.00
_cell_angle_beta 90.00
_cell_angle_gamma 120.00
_space_group_name_H-M_alt 'R 3 m'
_space_group_IT_number 160
_space_group_name_Hall 'R 3 -2"'
loop_
_atom_site_label
_atom_site_type_symbol
_atom_site_fract_x
_atom_site_fract_y
_atom_site_fract_z
_atom_site_occupancy
Ac1 Ac 0.0000 0.0000 0.0000 1
Tb1 Tb 0.0000 0.0000 0.8339 1
Ho1 Ho 0.0000 0.0000 0.4201 1
Ho2 Ho 0.0000 0.0000 0.5804 1
```

Most intense lines, 10° ≤ 2θ ≤ 90°, low angle first:
2θ 28.37, rel. 29; 2θ 30.72, rel. 100; 2θ 33.26, rel. 63; 2θ 49.35, rel. 27; 2θ 52.92, rel. 12; 2θ 57.79, rel. 15; 2θ 59.25, rel. 41; 2θ 60.82, rel. 11



Calculated powder diffractogram
Compound: Al3CrPd12
Radiation: Cu Ka
Structure: a DFT-relaxed cell (PBE, Alexandria)
Lines closer than 0.1° are merged.

Atomic structure:
```
data_Al3CrPd12
_chemical_formula_sum 'Al3 Cr1 Pd12'
_cell_length_a 3.907
_cell_length_b 3.907
_cell_length_c 15.616
_cell_angle_alpha 90.00
_cell_angle_beta 90.00
_cell_angle_gamma 90.00
_space_group_name_H-M_alt 'P 4/m m m'
_space_group_IT_number 123
_space_group_name_Hall '-P 4 2'
loop_
_atom_site_label
_atom_site_type_symbol
_atom_site_fract_x
_atom_site_fract_y
_atom_site_fract_z
_atom_site_occupancy
Al1 Al 0.000 0.000 0.000 1
Al2 Al 0.000 0.000 0.248 1
Cr1 Cr 0.000 0.000 0.500 1
Pd1 Pd 0.000 0.500 0.125 1
Pd2 Pd 0.000 0.500 0.374 1
Pd3 Pd 0.500 0.500 0.000 1
Pd4 Pd 0.500 0.500 0.250 1
Pd5 Pd 0.500 0.500 0.500 1
```

Most intense lines, 10° ≤ 2θ ≤ 90°, low angle first:
2θ 22.77, rel. 14; 2θ 32.42, rel. 12; 2θ 39.98, rel. 100; 2θ 46.50, rel. 48; 2θ 52.38, rel. 6; 2θ 67.87, rel. 30; 2θ 81.79, rel. 36; 2θ 86.28, rel. 11